# 1
# Sm2Cu2B2CN
Theoretical powder XRD pattern, Cu Kα (weighted mean of Kα1 and Kα2). Input: the PBE geometry in OQMD.
Intensities are scaled so that the largest is 100.

Top 6 peaks for 2θ from 10° to 90°, in order of rising 2θ:
2θ = 27.05°, intensity 100; 2θ = 33.63°, intensity 77; 2θ = 34.29°, intensity 55; 2θ = 36.82°, intensity 83; 2θ = 42.05°, intensity 54; 2θ = 50.24°, intensity 42

Crystal structure
a = 3.632 Å, b = 3.632 Å, c = 7.844 Å
α = 90.00°, β = 90.00°, γ = 90.00°
Fractional positions:
Sm (0.000, 0.000, 0.000)
Sm (0.500, 0.500, 0.327)
Cu (0.000, 0.500, 0.655)
Cu (0.500, 0.000, 0.655)
B (0.000, 0.000, 0.486)
B (0.500, 0.500, 0.824)
C (0.500, 0.500, 0.011)
N (0.000, 0.000, 0.305)

---

# 2
# Dy4B3C4
Theoretical powder XRD pattern, Cu Kα (weighted mean of Kα1 and Kα2). Input: the PBE geometry in OQMD.
Intensities are scaled so that the largest is 100.

Top 6 peaks for 2θ from 10° to 90°, in order of rising 2θ:
2θ = 26.16°, intensity 53; 2θ = 27.77°, intensity 56; 2θ = 30.30°, intensity 88; 2θ = 31.39°, intensity 54; 2θ = 32.87°, intensity 74; 2θ = 35.87°, intensity 100

Crystal structure
a = 3.540 Å, b = 3.613 Å, c = 11.924 Å
α = 92.70°, β = 97.77°, γ = 90.13°
Fractional positions:
Dy (0.102, 0.449, 0.138)
Dy (0.297, 0.021, 0.651)
Dy (0.703, 0.979, 0.349)
Dy (0.898, 0.551, 0.862)
B (0.278, 0.494, 0.457)
B (0.500, 0.000, 0.000)
B (0.722, 0.506, 0.543)
C (0.196, 0.475, 0.331)
C (0.407, 0.057, 0.878)
C (0.593, 0.943, 0.122)
C (0.804, 0.525, 0.669)

---

# 3
# DyErB4C
Theoretical powder XRD pattern, Cu Kα (weighted mean of Kα1 and Kα2). Input: the PBE geometry in OQMD.
Intensities are scaled so that the largest is 100.

Top 6 peaks for 2θ from 10° to 90°, in order of rising 2θ:
2θ = 23.76°, intensity 56; 2θ = 27.18°, intensity 56; 2θ = 30.59°, intensity 75; 2θ = 36.41°, intensity 55; 2θ = 39.10°, intensity 100; 2θ = 56.29°, intensity 39

Crystal structure
a = 5.239 Å, b = 5.239 Å, c = 5.239 Å
α = 143.70°, β = 102.45°, γ = 88.77°
Fractional positions:
Dy (0.000, 0.000, 0.000)
Er (0.531, 0.531, 0.000)
B (0.132, 0.767, 0.365)
B (0.402, 0.767, 0.635)
B (0.539, 0.266, 0.272)
B (0.994, 0.266, 0.728)
C (0.763, 0.263, 0.500)

---

# 4
# DyErNi2B2C2
Theoretical powder XRD pattern, Cu Kα (weighted mean of Kα1 and Kα2). Input: the PBE geometry in OQMD.
Intensities are scaled so that the largest is 100.

Top 6 peaks for 2θ from 10° to 90°, in order of rising 2θ:
2θ = 27.64°, intensity 100; 2θ = 34.61°, intensity 72; 2θ = 35.75°, intensity 45; 2θ = 37.56°, intensity 65; 2θ = 43.12°, intensity 44; 2θ = 51.15°, intensity 36

Crystal structure
a = 3.571 Å, b = 3.571 Å, c = 7.535 Å
α = 90.00°, β = 90.00°, γ = 90.00°
Fractional positions:
Dy (0.000, 0.000, 0.000)
Er (0.500, 0.500, 0.669)
Ni (0.000, 0.500, 0.335)
Ni (0.500, 0.000, 0.335)
B (0.000, 0.000, 0.481)
B (0.500, 0.500, 0.187)
C (0.000, 0.000, 0.679)
C (0.500, 0.500, 0.989)

---

# 5
# DyTmFe2B2C2
Theoretical powder XRD pattern, Cu Kα (weighted mean of Kα1 and Kα2). Input: the PBE geometry in OQMD.
Intensities are scaled so that the largest is 100.

Top 6 peaks for 2θ from 10° to 90°, in order of rising 2θ:
2θ = 27.87°, intensity 100; 2θ = 34.13°, intensity 50; 2θ = 34.25°, intensity 82; 2θ = 38.08°, intensity 65; 2θ = 43.14°, intensity 39; 2θ = 63.92°, intensity 59

Crystal structure
a = 3.503 Å, b = 3.503 Å, c = 7.881 Å
α = 90.00°, β = 90.00°, γ = 90.00°
Fractional positions:
Dy (0.000, 0.000, 0.000)
Tm (0.500, 0.500, 0.678)
Fe (0.000, 0.500, 0.339)
Fe (0.500, 0.000, 0.339)
B (0.000, 0.000, 0.505)
B (0.500, 0.500, 0.172)
C (0.000, 0.000, 0.693)
C (0.500, 0.500, 0.982)

---

# 6
# DyHoBC2
Theoretical powder XRD pattern, Cu Kα (weighted mean of Kα1 and Kα2). Input: the PBE geometry in OQMD.
Intensities are scaled so that the largest is 100.

Top 6 peaks for 2θ from 10° to 90°, in order of rising 2θ:
2θ = 25.92°, intensity 28; 2θ = 26.07°, intensity 31; 2θ = 32.68°, intensity 23; 2θ = 34.76°, intensity 43; 2θ = 35.15°, intensity 100; 2θ = 50.59°, intensity 21

Crystal structure
a = 3.609 Å, b = 3.609 Å, c = 6.014 Å
α = 106.91°, β = 106.91°, γ = 89.99°
Fractional positions:
Dy (0.000, 0.000, 0.000)
Ho (0.303, 0.303, 0.594)
B (0.651, 0.651, 0.296)
C (0.512, 0.512, 0.023)
C (0.789, 0.789, 0.568)

---

# 7
# Dy2HoNi2B2C3
Theoretical powder XRD pattern, Cu Kα (weighted mean of Kα1 and Kα2). Input: the PBE geometry in OQMD.
Intensities are scaled so that the largest is 100.

Top 6 peaks for 2θ from 10° to 90°, in order of rising 2θ:
2θ = 28.22°, intensity 100; 2θ = 33.38°, intensity 89; 2θ = 35.35°, intensity 48; 2θ = 35.49°, intensity 39; 2θ = 36.61°, intensity 40; 2θ = 51.07°, intensity 36

Crystal structure
a = 10.467 Å, b = 10.467 Å, c = 10.467 Å
α = 160.32°, β = 160.32°, γ = 27.97°
Fractional positions:
Dy (0.123, 0.123, 0.000)
Dy (0.877, 0.877, 0.000)
Ho (0.500, 0.500, 0.000)
Ni (0.250, 0.750, 0.500)
Ni (0.750, 0.250, 0.500)
B (0.304, 0.304, 0.000)
B (0.696, 0.696, 0.000)
C (0.000, 0.000, 0.000)
C (0.377, 0.377, 0.000)
C (0.623, 0.623, 0.000)